Structure and computed PXRD pattern of MgCdGeO4 (DFT lattice parameters and positions (PBE); Cu Kα, 1.54184 Å).
Peak positions follow from Bragg's law for the DFT cell and can differ from measured ones.

```
MgCdGeO4
1.0
6.1190 0.0000 0.0000
0.0000 6.1190 0.0000
0.0000 0.0000 8.5463
Mg Cd Ge O
4 4 4 16
Direct
0.0000 0.2577 0.0000 Mg
0.0000 0.7423 0.5000 Mg
0.2577 0.0000 0.7500 Mg
0.7423 0.0000 0.2500 Mg
0.2408 0.2408 0.3750 Cd
0.2408 0.7592 0.1250 Cd
0.7592 0.2408 0.6250 Cd
0.7592 0.7592 0.8750 Cd
0.2543 0.5000 0.7500 Ge
0.5000 0.2543 0.0000 Ge
0.5000 0.7457 0.5000 Ge
0.7457 0.5000 0.2500 Ge
0.0530 0.2683 0.7575 O
0.0530 0.7317 0.7425 O
0.2683 0.0530 0.9925 O
0.2683 0.9470 0.5075 O
0.2698 0.4769 0.9754 O
0.2698 0.5231 0.5246 O
0.4769 0.2698 0.7746 O
0.4769 0.7302 0.7254 O
0.5231 0.2698 0.2254 O
0.5231 0.7302 0.2746 O
0.7302 0.4769 0.0246 O
0.7302 0.5231 0.4754 O
0.7317 0.0530 0.0075 O
0.7317 0.9470 0.4925 O
0.9470 0.2683 0.2425 O
0.9470 0.7317 0.2575 O
```

Principal peaks in the range 2θ from 15° to 90°, in order of falling intensity:
34.4°, I = 100, (2 1 1)
29.4°, I = 65, (1 1 2)
34.7°, I = 51, (1 0 3)
60.9°, I = 37, (2 2 4)
55.2°, I = 35, (3 2 1)
29.2°, I = 33, (2 0 0)